Sr2Re3O10: calculated powder X-ray diffraction pattern (Cu Kα), based on a cell relaxed with PBE.

Top 10 peaks for 2θ from 10° to 90°, by intensity:
2θ/deg	I (rel.)	h k l
28.26	100	3 1 1
29.01	70	6 0 -1
28.59	53	3 1 -2
25.09	42	0 0 2
36.81	31	2 2 1
33.80	24	2 2 -1
43.08	24	6 2 -1
28.85	23	5 1 -1
53.70	21	10 0 0
10.37	20	2 0 0

Crystal structure
```
data_Sr2Re3O10
_chemical_formula_sum 'Sr8 Re12 O40'
_symmetry_space_group_name_H-M 'C 1 2/m 1'
_symmetry_Int_Tables_number 12
_cell_length_a 18.4718
_cell_length_b 5.7427
_cell_length_c 7.6882
_cell_angle_alpha 90.00
_cell_angle_beta 112.59
_cell_angle_gamma 90.00
loop_
_symmetry_equiv_pos_as_xyz
'x,y,z'
'-x,-y,-z'
'-x,y,-z'
'x,-y,z'
'x+1/2,y+1/2,z'
'-x+1/2,-y+1/2,-z'
'-x+1/2,y+1/2,-z'
'x+1/2,-y+1/2,z'
loop_
_atom_site_label
_atom_site_fract_x
_atom_site_fract_y
_atom_site_fract_z
_atom_site_occupancy
Sr1 0.1068 0.0000 0.2146 1
Sr2 0.2114 0.0000 0.8182 1
Re1 0.0000 0.2161 0.5000 1
Re2 0.0820 0.5000 0.9717 1
Re3 0.1832 0.5000 0.5229 1
O1 0.0000 0.2864 0.0000 1
O2 0.0224 0.0000 0.7143 1
O3 0.0256 0.5000 0.6882 1
O4 0.1093 0.2502 0.5233 1
O5 0.1326 0.5000 0.2429 1
O6 0.1424 0.2550 0.9641 1
O7 0.2335 0.5000 0.7808 1
O8 0.2500 0.2500 0.5000 1
```